No. 1
The following is a theoretical powder diffraction line list of RbHfAgTe3. It was derived from a crystal structure in the Materials Project, relaxed with GGA-PBE, using a wavelength of 1.5418 Å.
Intensities are scaled so that the largest is 100.

Structure:
```
data_RbHfAgTe3
_chemical_formula_sum 'Rb2 Hf2 Ag2 Te6'
_cell_length_a 9.274
_cell_length_b 4.246
_cell_length_c 11.072
_cell_angle_alpha 90.00
_cell_angle_beta 112.65
_cell_angle_gamma 90.00
_symmetry_space_group_name_H-M 'P 1 21/m 1'
_symmetry_Int_Tables_number 11
loop_
_symmetry_equiv_pos_as_xyz
'x,y,z'
'-x,-y,-z'
'-x,y+1/2,-z'
'x,-y+1/2,z'
loop_
_atom_site_label
_atom_site_type_symbol
_atom_site_fract_x
_atom_site_fract_y
_atom_site_fract_z
_atom_site_occupancy
Rb1 Rb 0.248 0.250 0.218 1
Hf1 Hf 0.194 0.750 0.668 1
Ag1 Ag 0.425 0.250 0.899 1
Te1 Te 0.044 0.750 0.375 1
Te2 Te 0.239 0.750 0.936 1
Te3 Te 0.394 0.250 0.638 1
```

Peak list (8 most intense, 2θ = 10–90°, low angle first)
| d [Å] | 2θ (°) | I (rel.) | index |
| --- | --- | --- | --- |
| 8.327 | 10.62 | 100.0 | 1 0 -1 |
| 3.131 | 28.51 | 54.1 | 2 1 -1 |
| 3.014 | 29.64 | 35.6 | 2 1 0 |
| 2.699 | 33.19 | 17.4 | 2 1 1 |
| 2.489 | 36.09 | 17.2 | 3 1 -1 |
| 2.277 | 39.58 | 41.2 | 2 1 -4 |
| 2.123 | 42.58 | 22.3 | 0 2 0 |
| 2.005 | 45.24 | 16.6 | 2 1 3 |

---

No. 2
The following is a theoretical powder diffraction line list of HfAg2S3. It was derived from a crystal structure in the Materials Project, relaxed with GGA-PBE, using a wavelength of 1.5418 Å.
Intensities are scaled so that the largest is 100.

Structure:
```
data_HfAg2S3
_chemical_formula_sum 'Hf8 Ag16 S24'
_cell_length_a 11.581
_cell_length_b 6.704
_cell_length_c 12.773
_cell_angle_alpha 90.00
_cell_angle_beta 90.00
_cell_angle_gamma 90.00
_symmetry_space_group_name_H-M 'C m c e'
_symmetry_Int_Tables_number 64
_symmetry_space_group_name_Hall '-C 2ac 2'
loop_
_atom_site_label
_atom_site_type_symbol
_atom_site_fract_x
_atom_site_fract_y
_atom_site_fract_z
_atom_site_occupancy
Hf1 Hf 0.162 0.000 0.000 1
Ag1 Ag 0.000 0.025 0.320 1
Ag2 Ag 0.250 0.102 0.250 1
S1 S 0.000 0.111 0.876 1
S2 S 0.174 0.172 0.603 1
```

Peak list (8 most intense, 2θ = 10–90°, low angle first)
| d [Å] | 2θ (°) | I (rel.) | index |
| --- | --- | --- | --- |
| 3.433 | 25.96 | 100.0 | 1 1 3 |
| 3.352 | 26.59 | 53.8 | 0 2 0 |
| 3.237 | 27.56 | 85.7 | 3 1 1 |
| 2.796 | 32.01 | 39.5 | 2 0 4 |
| 2.638 | 33.98 | 78.8 | 4 0 2 |
| 2.030 | 44.63 | 69.1 | 3 1 5 |
| 1.949 | 46.60 | 45.1 | 1 3 3 |
| 1.912 | 47.55 | 42.7 | 3 3 1 |

---

No. 3
The following is a theoretical powder diffraction line list of Ho2AgHg. It was derived from a crystal structure in the Materials Project, relaxed with GGA-PBE, using a wavelength of 1.5418 Å.
Intensities are scaled so that the largest is 100.

Structure:
```
data_Ho2AgHg
_chemical_formula_sum 'Ho8 Ag4 Hg4'
_cell_length_a 7.328
_cell_length_b 7.328
_cell_length_c 7.328
_cell_angle_alpha 90.00
_cell_angle_beta 90.00
_cell_angle_gamma 90.00
_symmetry_space_group_name_H-M 'F m -3 m'
_symmetry_Int_Tables_number 225
_symmetry_space_group_name_Hall '-F 4 2 3'
loop_
_atom_site_label
_atom_site_type_symbol
_atom_site_fract_x
_atom_site_fract_y
_atom_site_fract_z
_atom_site_occupancy
Ho1 Ho 0.250 0.250 0.250 1
Ag1 Ag 0.000 0.000 0.000 1
Hg1 Hg 0.000 0.000 0.500 1
```

Peak list (8 most intense, 2θ = 10–90°, low angle first)
| d [Å] | 2θ (°) | I (rel.) | index |
| --- | --- | --- | --- |
| 4.231 | 21.00 | 4.1 | 1 1 1 |
| 2.591 | 34.62 | 100.0 | 2 2 0 |
| 2.209 | 40.84 | 2.5 | 3 1 1 |
| 1.832 | 49.77 | 17.9 | 4 0 0 |
| 1.681 | 54.59 | 1.2 | 3 3 1 |
| 1.496 | 62.05 | 36.9 | 4 2 2 |
| 1.295 | 73.05 | 11.4 | 4 4 0 |
| 1.159 | 83.43 | 16.4 | 6 2 0 |